# 1
This entry pairs a crystal structure of NaH5S3O12 with its calculated XRD peak list. Radiation: a wavelength of 1.5418 Å. Structure: a crystal structure in the Materials Project, relaxed with PBE.

Structural model:
```
data_NaH5S3O12
_chemical_formula_sum 'Na2 H10 S6 O24'
_space_group_name_H-M_alt 'P 1'
_space_group_IT_number 1
_cell_length_a 5.9817
_cell_length_b 9.5890
_cell_length_c 13.0357
_cell_angle_alpha 68.98
_cell_angle_beta 84.26
_cell_angle_gamma 84.48
loop_
_space_group_symop_operation_xyz
'x,y,z'
loop_
_atom_site_label
_atom_site_fract_x
_atom_site_fract_y
_atom_site_fract_z
Na1 0.1351 0.3076 0.1864
Na2 0.8649 0.6924 0.8136
H1 0.1775 0.3098 0.4668
H2 0.1793 0.3955 0.6658
H3 0.2090 0.8947 0.2611
H4 0.4465 0.6666 0.1300
H5 0.4468 0.0003 0.7419
H6 0.5532 0.9997 0.2581
H7 0.5535 0.3334 0.8700
H8 0.7910 0.1053 0.7389
H9 0.8207 0.6045 0.3342
H10 0.8225 0.6902 0.5332
S1 0.1358 0.2419 0.5797
S2 0.3181 0.7494 0.6792
S3 0.4163 0.7561 0.0215
S4 0.5837 0.2439 0.9785
S5 0.6819 0.2506 0.3208
S6 0.8642 0.7581 0.4203
O1 0.0682 0.1129 0.8975
O2 0.0964 0.8084 0.4055
O3 0.1260 0.4061 0.5946
O4 0.1611 0.2320 0.8596
O5 0.1874 0.8626 0.7189
O6 0.1952 0.6123 0.0295
O7 0.1983 0.5982 0.9336
O8 0.2033 0.6076 0.7128
O9 0.3164 0.9355 0.1956
O10 0.3900 0.2805 0.0453
O11 0.4387 0.2673 0.3019
O12 0.4738 0.0966 0.7477
O13 0.5262 0.9034 0.2523
O14 0.5613 0.7327 0.6981
O15 0.6100 0.7195 0.9547
O16 0.6836 0.0645 0.8044
O17 0.7967 0.3924 0.2872
O18 0.8017 0.4018 0.0664
O19 0.8048 0.3877 0.9705
O20 0.8126 0.1374 0.2811
O21 0.8389 0.7680 0.1404
O22 0.8740 0.5939 0.4054
O23 0.9036 0.1916 0.5945
O24 0.9318 0.8871 0.1025
```

Peak list (8 most intense, 15° ≤ 2θ ≤ 90°, sorted by position)
2θ (°), intensity
17.07, 72
19.88, 100
24.23, 58
25.08, 54
27.22, 40
27.52, 34
29.81, 32
30.71, 40



# 2
This entry pairs a crystal structure of NaH2S2O4 with its calculated XRD peak list. Radiation: a wavelength of 1.5418 Å. Structure: a crystal structure in the Materials Project, relaxed with PBE.

Structural model:
```
data_NaH2S2O4
_chemical_formula_sum 'Na2 H4 S4 O8'
_space_group_name_H-M_alt 'P 1'
_space_group_IT_number 1
_cell_length_a 8.2114
_cell_length_b 8.2114
_cell_length_c 5.4721
_cell_angle_alpha 104.21
_cell_angle_beta 104.21
_cell_angle_gamma 46.54
loop_
_space_group_symop_operation_xyz
'x,y,z'
loop_
_atom_site_label
_atom_site_fract_x
_atom_site_fract_y
_atom_site_fract_z
Na1 0.2306 0.2306 0.4822
Na2 0.7694 0.7694 0.5178
H1 0.2348 0.5580 0.4464
H2 0.2565 0.5613 0.7412
H3 0.4387 0.7435 0.2588
H4 0.4420 0.7652 0.5536
S1 0.5543 0.1775 0.0821
S2 0.8225 0.4457 0.9179
S3 0.8936 0.0583 0.1545
S4 0.9417 0.1064 0.8455
O1 0.1602 0.5812 0.5829
O2 0.3913 0.4255 0.1142
O3 0.4188 0.8398 0.4171
O4 0.5360 0.0813 0.8238
O5 0.5604 0.0814 0.2814
O6 0.5745 0.6087 0.8858
O7 0.9186 0.4396 0.7186
O8 0.9187 0.4640 0.1762
```

Peak list (8 most intense, 15° ≤ 2θ ≤ 90°, sorted by position)
2θ (°), intensity
22.90, 70
23.34, 67
23.78, 100
25.41, 87
32.90, 30
33.78, 53
36.37, 35
37.15, 44



# 3
This entry pairs a crystal structure of Na3HS2O8 with its calculated XRD peak list. Radiation: a wavelength of 1.5418 Å. Structure: a crystal structure in the Materials Project, relaxed with PBE.

Structural model:
```
data_Na3HS2O8
_chemical_formula_sum 'Na12 H4 S8 O32'
_space_group_name_H-M_alt 'P 1'
_space_group_IT_number 1
_cell_length_a 8.7602
_cell_length_b 9.7856
_cell_length_c 9.2452
_cell_angle_alpha 90.00
_cell_angle_beta 108.55
_cell_angle_gamma 90.00
loop_
_space_group_symop_operation_xyz
'x,y,z'
loop_
_atom_site_label
_atom_site_fract_x
_atom_site_fract_y
_atom_site_fract_z
Na1 0.0000 0.0000 0.0000
Na2 0.0000 0.5000 0.5000
Na3 0.1133 0.1560 0.3717
Na4 0.1133 0.3440 0.8717
Na5 0.2406 0.0043 0.7750
Na6 0.2406 0.4957 0.2750
Na7 0.5000 0.0000 0.5000
Na8 0.5000 0.5000 0.0000
Na9 0.7594 0.5043 0.7250
Na10 0.7594 0.9957 0.2250
Na11 0.8867 0.6560 0.1283
Na12 0.8867 0.8440 0.6283
H1 0.3954 0.7365 0.3828
H2 0.3954 0.7635 0.8828
H3 0.6046 0.2365 0.1172
H4 0.6046 0.2635 0.6172
S1 0.1348 0.6801 0.9045
S2 0.1348 0.8199 0.4045
S3 0.3608 0.1916 0.1420
S4 0.3608 0.3084 0.6420
S5 0.6392 0.6916 0.3580
S6 0.6392 0.8084 0.8580
S7 0.8652 0.1801 0.5955
S8 0.8652 0.3199 0.0955
O1 0.0362 0.5936 0.7762
O2 0.0362 0.9064 0.2762
O3 0.0901 0.6735 0.3735
O4 0.0901 0.8265 0.8735
O5 0.1150 0.6345 0.0497
O6 0.1150 0.8655 0.5497
O7 0.2458 0.1247 0.0077
O8 0.2458 0.3753 0.5077
O9 0.3104 0.6637 0.9168
O10 0.3104 0.8363 0.4168
O11 0.3427 0.1424 0.2853
O12 0.3427 0.3576 0.7853
O13 0.3461 0.1575 0.6262
O14 0.3461 0.3425 0.1262
O15 0.4662 0.6518 0.3555
O16 0.4662 0.8482 0.8555
O17 0.5338 0.1518 0.1445
O18 0.5338 0.3482 0.6445
O19 0.6539 0.6575 0.8738
O20 0.6539 0.8425 0.3738
O21 0.6573 0.6424 0.2147
O22 0.6573 0.8576 0.7147
O23 0.6896 0.1637 0.5832
O24 0.6896 0.3363 0.0832
O25 0.7542 0.6247 0.4923
O26 0.7542 0.8753 0.9923
O27 0.8850 0.1345 0.4503
O28 0.8850 0.3655 0.9503
O29 0.9099 0.1735 0.1265
O30 0.9099 0.3265 0.6265
O31 0.9638 0.0936 0.7238
O32 0.9638 0.4064 0.2238
```

Peak list (8 most intense, 15° ≤ 2θ ≤ 90°, sorted by position)
2θ (°), intensity
21.87, 53
22.23, 100
23.27, 73
24.39, 28
30.43, 23
30.56, 52
32.31, 88
45.35, 23



# 4
This entry pairs a crystal structure of Na3HS2O8 with its calculated XRD peak list. Radiation: a wavelength of 1.5418 Å. Structure: a crystal structure in the Materials Project, relaxed with PBE.

Structural model:
```
data_Na3HS2O8
_chemical_formula_sum 'Na12 H4 S8 O32'
_space_group_name_H-M_alt 'P 1'
_space_group_IT_number 1
_cell_length_a 8.7454
_cell_length_b 9.2323
_cell_length_c 9.7901
_cell_angle_alpha 90.00
_cell_angle_beta 90.12
_cell_angle_gamma 108.56
loop_
_space_group_symop_operation_xyz
'x,y,z'
loop_
_atom_site_label
_atom_site_fract_x
_atom_site_fract_y
_atom_site_fract_z
Na1 0.0000 0.0000 0.0000
Na2 0.9997 0.4985 0.8163
Na3 0.1325 0.9070 0.6650
Na4 0.1352 0.4054 0.1574
Na5 0.3886 0.1295 0.1612
Na6 0.3925 0.6329 0.6659
Na7 0.6351 0.3479 0.6565
Na8 0.6418 0.8487 0.1701
Na9 0.7645 0.2527 0.3188
Na10 0.7648 0.7513 0.5048
Na11 0.8822 0.6270 0.1617
Na12 0.8839 0.1228 0.6621
H1 0.2613 0.0148 0.4021
H2 0.2622 0.5142 0.4199
H3 0.4862 0.7460 0.9326
H4 0.5068 0.2432 0.9147
S1 0.0154 0.0311 0.3401
S2 0.0166 0.5314 0.4815
S3 0.2436 0.7695 0.9708
S4 0.2478 0.2693 0.8532
S5 0.5212 0.4848 0.3528
S6 0.5214 0.9850 0.4684
S7 0.7510 0.7224 0.8423
S8 0.7534 0.2214 0.9819
O1 0.1274 0.6351 0.0363
O2 0.1301 0.1351 0.7855
O3 0.1957 0.0479 0.3175
O4 0.1965 0.5462 0.5052
O5 0.2251 0.9129 0.0192
O6 0.2263 0.4126 0.8041
O7 0.2267 0.2523 0.0046
O8 0.2343 0.7539 0.8198
O9 0.3507 0.4827 0.3192
O10 0.3513 0.9833 0.5024
O11 0.4167 0.7725 0.0148
O12 0.4183 0.2716 0.8182
O13 0.5434 0.0013 0.3168
O14 0.5428 0.3419 0.3027
O15 0.5431 0.8416 0.5175
O16 0.5444 0.5013 0.5041
O17 0.5746 0.2099 0.0010
O18 0.5758 0.7115 0.8294
O19 0.6389 0.6188 0.2849
O20 0.6404 0.1186 0.5360
O21 0.7678 0.0751 0.0272
O22 0.7702 0.5770 0.7952
O23 0.7907 0.2522 0.8350
O24 0.7986 0.7533 0.9883
O25 0.8493 0.8509 0.7551
O26 0.8510 0.3492 0.0681
O27 0.9196 0.4036 0.5676
O28 0.9208 0.9014 0.2548
O29 0.9826 0.0005 0.4872
O30 0.9826 0.4998 0.3348
O31 0.9948 0.1752 0.2953
O32 0.9987 0.6775 0.5253
```

Peak list (8 most intense, 15° ≤ 2θ ≤ 90°, sorted by position)
2θ (°), intensity
21.87, 54
22.25, 100
23.30, 73
24.43, 27
30.47, 23
30.59, 54
32.32, 89
45.40, 23